Record 1
Tb2HoThSe4: simulated powder diffraction line list (Cu Kα X-rays), based on the GGA-PBE geometry in Alexandria.
Intensities are scaled so that the largest is 100.

Crystal structure
a = 7.121 Å, b = 4.073 Å, c = 7.193 Å
α = 90.00°, β = 109.02°, γ = 90.00°
Space group P2/m (No. 10)
Unique sites:
Tb 0.000 0.000 0.000 [1 per cell]
Tb 0.000 0.500 0.500 [1 per cell]
Ho 0.500 0.000 0.500 [1 per cell]
Th 0.500 0.500 0.000 [1 per cell]
Se 0.243 0.000 0.740 [2 per cell]
Se 0.249 0.500 0.257 [2 per cell]

Principal peaks in the range 5 to 70 degrees two-theta, by intensity:
- 2θ = 30.72°, I = 100
- 2θ = 43.82°, I = 25
- 2θ = 44.16°, I = 25
- 2θ = 26.70°, I = 13
- 2θ = 55.02°, I = 13
- 2θ = 43.57°, I = 13

Record 2
Tb3HoTh2Se6: simulated powder diffraction line list (Cu Kα X-rays), based on the GGA-PBE geometry in Alexandria.
Intensities are scaled so that the largest is 100.

Crystal structure
a = 18.090 Å, b = 4.108 Å, c = 8.299 Å
α = 90.00°, β = 104.34°, γ = 90.00°
Space group C2/m (No. 12)
Unique sites:
Tb 0.000 0.000 0.000 [2 per cell]
Tb 0.169 0.500 0.334 [4 per cell]
Ho 0.000 0.000 0.500 [2 per cell]
Th 0.170 0.500 0.841 [4 per cell]
Se 0.002 0.500 0.255 [4 per cell]
Se 0.162 0.000 0.093 [4 per cell]
Se 0.165 0.000 0.576 [4 per cell]

Principal peaks in the range 5 to 70 degrees two-theta, by intensity:
- 2θ = 30.62°, I = 100
- 2θ = 43.57°, I = 38
- 2θ = 44.13°, I = 37
- 2θ = 26.55°, I = 21
- 2θ = 54.62°, I = 13
- 2θ = 63.75°, I = 12

Record 3
Ho3TeSe6: simulated powder diffraction line list (Cu Kα X-rays), based on the GGA-PBE geometry in Alexandria.
Intensities are scaled so that the largest is 100.

Crystal structure
a = 10.993 Å, b = 13.990 Å, c = 7.011 Å
α = 90.00°, β = 90.00°, γ = 90.00°
Space group Cmc2_1 (No. 36)
Unique sites:
Ho 0.000 0.088 0.000 [4 per cell]
Ho 0.187 0.399 0.887 [8 per cell]
Te 0.000 0.331 0.411 [4 per cell]
Se 0.000 0.268 0.768 [4 per cell]
Se 0.000 0.491 0.135 [4 per cell]
Se 0.166 0.037 0.697 [8 per cell]
Se 0.166 0.229 0.165 [8 per cell]

Principal peaks in the range 5 to 70 degrees two-theta, by intensity:
- 2θ = 24.19°, I = 100
- 2θ = 33.63°, I = 57
- 2θ = 40.56°, I = 47
- 2θ = 36.03°, I = 45
- 2θ = 36.28°, I = 43
- 2θ = 32.93°, I = 38

Record 4
Ho3ThSe6: simulated powder diffraction line list (Cu Kα X-rays), based on the GGA-PBE geometry in Alexandria.
Intensities are scaled so that the largest is 100.

Crystal structure
a = 11.560 Å, b = 4.081 Å, c = 11.865 Å
α = 90.00°, β = 108.53°, γ = 90.00°
Space group P2_1/m (No. 11)
Unique sites:
Ho 0.067 0.250 0.165 [2 per cell]
Ho 0.179 0.750 0.500 [2 per cell]
Ho 0.341 0.250 0.919 [2 per cell]
Th 0.453 0.250 0.303 [2 per cell]
Se 0.018 0.250 0.383 [2 per cell]
Se 0.106 0.250 0.938 [2 per cell]
Se 0.242 0.750 0.274 [2 per cell]
Se 0.306 0.750 0.748 [2 per cell]
Se 0.383 0.250 0.533 [2 per cell]
Se 0.417 0.750 0.096 [2 per cell]

Principal peaks in the range 5 to 70 degrees two-theta, by intensity:
- 2θ = 29.84°, I = 100
- 2θ = 44.38°, I = 87
- 2θ = 32.91°, I = 72
- 2θ = 40.60°, I = 65
- 2θ = 23.08°, I = 60
- 2θ = 22.49°, I = 53

Record 5
Ho2Tm3ThSe6: simulated powder diffraction line list (Cu Kα X-rays), based on the GGA-PBE geometry in Alexandria.
Intensities are scaled so that the largest is 100.

Crystal structure
a = 17.800 Å, b = 4.037 Å, c = 8.187 Å
α = 90.00°, β = 104.00°, γ = 90.00°
Space group C2/m (No. 12)
Unique sites:
Ho 0.161 0.000 0.325 [4 per cell]
Tm 0.000 0.500 0.500 [2 per cell]
Tm 0.161 0.000 0.833 [4 per cell]
Th 0.000 0.500 0.000 [2 per cell]
Se 0.001 0.000 0.735 [4 per cell]
Se 0.168 0.500 0.585 [4 per cell]
Se 0.174 0.500 0.084 [4 per cell]

Principal peaks in the range 5 to 70 degrees two-theta, by intensity:
- 2θ = 31.10°, I = 100
- 2θ = 44.34°, I = 25
- 2θ = 44.75°, I = 24
- 2θ = 26.94°, I = 20
- 2θ = 55.61°, I = 13
- 2θ = 44.25°, I = 13

Record 6
HoTiSe3: simulated powder diffraction line list (Cu Kα X-rays), based on the GGA-PBE geometry in Alexandria.
Intensities are scaled so that the largest is 100.

Crystal structure
a = 8.817 Å, b = 6.647 Å, c = 10.059 Å
α = 90.00°, β = 117.02°, γ = 90.00°
Space group P2_1/c (No. 14)
Unique sites:
Ho 0.222 0.191 0.109 [4 per cell]
Ti 0.423 0.724 0.520 [4 per cell]
Se 0.120 0.662 0.449 [4 per cell]
Se 0.292 0.087 0.403 [4 per cell]
Se 0.429 0.562 0.290 [4 per cell]

Principal peaks in the range 5 to 70 degrees two-theta, by intensity:
- 2θ = 38.89°, I = 100
- 2θ = 36.90°, I = 97
- 2θ = 33.80°, I = 89
- 2θ = 17.48°, I = 85
- 2θ = 23.95°, I = 84
- 2θ = 28.65°, I = 79